(1)
LiTmO2: simulated powder XRD pattern (Cu Ka), based on a crystal structure in the Materials Project, relaxed with GGA-PBE.

Cell and atoms:
```
16
Lattice="6.0829 0.0000 0.0000 0.0000 6.1468 0.0000 -2.9509 0.0000 5.3866" Properties=species:S:1:pos:R:3 pbc="T T T"
Li -0.0071 0.9279 2.4099
Li -1.4825 2.1456 5.1032
Li 4.6145 4.0013 0.2834
Li 3.1391 5.2190 2.9767
Tm 0.0741 3.8702 2.7851
Tm 1.5496 5.3501 0.0918
Tm 1.5825 0.7968 5.2948
Tm 3.0579 2.2767 2.6015
O -1.9011 3.7501 3.9639
O -0.4257 5.4701 1.2706
O 2.5197 1.0028 0.9075
O 1.0443 2.0706 3.6008
O 2.0878 4.0762 1.7858
O 0.6123 5.1440 4.4791
O 3.5578 0.6767 4.1160
O 5.0332 2.3967 1.4227
```

Top 6 peaks for 10° ≤ 2θ ≤ 90°, in order of rising 2θ:
two_theta, I/Imax
21.9, 97
22.1, 100
33.8, 49
34.1, 44
41.3, 53
47.5, 27



(2)
LiUO3: simulated powder XRD pattern (Cu Ka), based on a crystal structure in the Materials Project, relaxed with GGA-PBE.

Cell and atoms:
```
5
Lattice="4.2763 0.0000 0.0000 0.0000 4.2763 0.0000 0.0000 0.0000 4.2763" Properties=species:S:1:pos:R:3 pbc="T T T"
Li 0.0000 0.0000 0.0000
U 2.1381 2.1381 2.1381
O 0.0000 2.1381 2.1381
O 2.1381 0.0000 2.1381
O 2.1381 2.1381 0.0000
```

Top 6 peaks for 10° ≤ 2θ ≤ 90°, in order of rising 2θ:
two_theta, I/Imax
20.8, 100
29.5, 69
42.3, 22
47.5, 46
52.4, 30
65.5, 23



(3)
LiUO3: simulated powder XRD pattern (Cu Ka), based on a crystal structure in the Materials Project, relaxed with GGA-PBE.

Cell and atoms:
```
10
Lattice="2.7403 1.5821 5.0190 -2.7403 1.5821 5.0190 0.0000 -3.1642 5.0190" Properties=species:S:1:pos:R:3 pbc="T T T"
Li 0.0000 0.0000 0.0000
Li 0.0000 0.0000 7.5284
U 0.0000 0.0000 4.1117
U 0.0000 0.0000 11.6402
O -0.9374 -1.4414 5.4270
O -1.9608 -0.0496 7.9365
O -0.7796 1.5325 5.4270
O 1.0233 -1.6733 7.9365
O 1.7170 -0.0911 5.4270
O 0.9374 1.7229 7.9365
```

Top 6 peaks for 10° ≤ 2θ ≤ 90°, in order of rising 2θ:
two_theta, I/Imax
22.1, 100
30.3, 47
32.7, 32
39.8, 20
49.2, 29
52.4, 20



(4)
LiUO3: simulated powder XRD pattern (Cu Ka), based on a crystal structure in the Materials Project, relaxed with GGA-PBE.

Cell and atoms:
```
10
Lattice="4.0940 -2.9253 0.0000 4.0940 2.9253 0.0000 -0.0146 0.0000 6.9341" Properties=species:S:1:pos:R:3 pbc="T T T"
Li 4.0940 -2.9232 0.0000
Li 4.0867 2.9232 3.4670
U 5.2486 0.0019 1.7227
U 5.2413 -0.0019 5.1898
O 5.1357 1.2772 6.9216
O 5.1670 1.2779 3.4584
O 5.1430 -1.2772 3.4545
O 5.1597 -1.2779 6.9254
O 7.2083 0.0308 5.1945
O 7.2156 -0.0308 1.7275
```

Top 6 peaks for 10° ≤ 2θ ≤ 90°, in order of rising 2θ:
two_theta, I/Imax
18.6, 100
21.7, 39
31.9, 51
36.3, 20
40.3, 19
46.3, 21



(5)
Li3UO4: simulated powder XRD pattern (Cu Ka), based on a crystal structure in the Materials Project, relaxed with GGA-PBE.

Cell and atoms:
```
8
Lattice="-2.2465 2.2465 4.2422 2.2465 -2.2465 4.2422 2.2465 2.2465 -4.2422" Properties=species:S:1:pos:R:3 pbc="T T T"
Li 0.0000 0.0000 0.0000
Li 2.2465 0.0000 2.1211
Li 0.0000 2.2465 2.1211
U 0.0000 0.0000 4.2422
O 2.2465 0.0000 0.0000
O 0.0000 0.0000 2.2258
O 0.0000 2.2465 0.0000
O 0.0000 0.0000 6.2586
```

Top 6 peaks for 10° ≤ 2θ ≤ 90°, in order of rising 2θ:
two_theta, I/Imax
20.9, 29
22.4, 100
28.1, 28
37.6, 25
40.1, 21
46.4, 30



(6)
LiYO3: simulated powder XRD pattern (Cu Ka), based on a crystal structure in the Materials Project, relaxed with GGA-PBE.

Cell and atoms:
```
5
Lattice="3.6870 0.0000 0.0000 0.0000 3.6870 0.0000 0.0000 0.0000 3.6870" Properties=species:S:1:pos:R:3 pbc="T T T"
Li 0.0000 0.0000 0.0000
Y 1.8435 1.8435 1.8435
O 0.0000 0.0000 1.8435
O 0.0000 1.8435 0.0000
O 1.8435 0.0000 0.0000
```

Top 6 peaks for 10° ≤ 2θ ≤ 90°, in order of rising 2θ:
two_theta, I/Imax
24.1, 91
34.4, 97
42.5, 100
49.4, 53
55.7, 38
61.6, 37



(7)
Li6ZnO4: simulated powder XRD pattern (Cu Ka), based on a crystal structure in the Materials Project, relaxed with GGA-PBE.

Cell and atoms:
```
22
Lattice="6.5980 0.0000 0.0000 0.0000 6.5980 0.0000 0.0000 0.0000 4.7049" Properties=species:S:1:pos:R:3 pbc="T T T"
Li 0.2107 3.5096 1.1762
Li 0.2107 6.3873 1.1762
Li 1.6495 1.6495 0.9642
Li 1.6495 1.6495 3.3166
Li 3.0883 3.5096 1.1762
Li 3.0883 6.3873 1.1762
Li 3.5096 0.2107 3.5287
Li 3.5096 3.0883 3.5287
Li 4.9485 4.9485 1.3883
Li 4.9485 4.9485 3.7407
Li 6.3873 0.2107 3.5287
Li 6.3873 3.0883 3.5287
Zn 1.6495 4.9485 3.5287
Zn 4.9485 1.6495 1.1762
O 0.0890 1.6495 2.1929
O 1.6495 0.0890 4.5453
O 1.6495 3.2100 4.5453
O 3.2100 1.6495 2.1929
O 3.3880 4.9485 2.5120
O 4.9485 3.3880 0.1596
O 4.9485 6.5089 0.1596
O 6.5089 4.9485 2.5120
```

Top 6 peaks for 10° ≤ 2θ ≤ 90°, in order of rising 2θ:
two_theta, I/Imax
19.0, 44
23.2, 100
27.0, 25
33.2, 31
35.9, 54
55.5, 35



(8)
Li10Zn4O9: simulated powder XRD pattern (Cu Ka), based on a crystal structure in the Materials Project, relaxed with GGA-PBE.

Cell and atoms:
```
46
Lattice="9.8333 0.0000 0.0000 0.0000 9.8333 0.0000 0.0000 0.0000 4.7091" Properties=species:S:1:pos:R:3 pbc="T T T"
Li 0.6139 1.0440 0.1867
Li 0.6139 3.8727 0.1867
Li 1.0440 0.6139 2.5412
Li 1.0440 4.3028 2.5412
Li 2.4583 2.4583 0.3812
Li 2.4583 2.4583 2.7358
Li 3.8727 0.6139 2.5412
Li 3.8727 4.3028 2.5412
Li 4.3028 1.0440 0.1867
Li 4.3028 3.8727 0.1867
Li 5.5305 5.9606 4.5225
Li 5.5305 8.7893 4.5225
Li 5.9606 5.5305 2.1679
Li 5.9606 9.2194 2.1679
Li 7.3750 7.3750 1.9734
Li 7.3750 7.3750 4.3279
Li 8.7893 5.5305 2.1679
Li 8.7893 9.2194 2.1679
Li 9.2194 5.9606 4.5225
Li 9.2194 8.7893 4.5225
Zn 0.8659 7.3750 2.2672
Zn 2.4583 5.7826 0.0873
Zn 2.4583 8.9674 0.0873
Zn 4.0508 7.3750 2.2672
Zn 5.7826 2.4583 2.4419
Zn 7.3750 0.8659 4.6218
Zn 7.3750 4.0508 4.6218
Zn 8.9674 2.4583 2.4419
O 0.7530 5.6697 1.1773
O 0.7530 9.0803 1.1773
O 0.9105 2.4583 1.5094
O 2.4583 0.9105 3.8639
O 2.4583 4.0062 3.8639
O 2.4583 7.3750 3.5319
O 4.0062 2.4583 1.5094
O 4.1636 5.6697 1.1773
O 4.1636 9.0803 1.1773
O 5.6697 0.7530 3.5319
O 5.6697 4.1636 3.5319
O 5.8271 7.3750 3.1998
O 7.3750 2.4583 1.1773
O 7.3750 5.8271 0.8452
O 7.3750 8.9229 0.8452
O 8.9229 7.3750 3.1998
O 9.0803 0.7530 3.5319
O 9.0803 4.1636 3.5319
```

Top 6 peaks for 10° ≤ 2θ ≤ 90°, in order of rising 2θ:
two_theta, I/Imax
12.7, 81
26.2, 100
34.6, 81
41.4, 44
55.6, 43
56.1, 24



(9)
Li2Zr2O5: simulated powder XRD pattern (Cu Ka), based on a crystal structure in the Materials Project, relaxed with GGA-PBE.

Cell and atoms:
```
36
Lattice="5.6042 0.0000 0.0000 0.0000 11.3647 0.0000 0.0000 0.0000 8.2008" Properties=species:S:1:pos:R:3 pbc="T T T"
Li 0.2786 1.0019 0.7167
Li 0.2786 4.6805 3.3836
Li 2.5235 6.6842 3.3836
Li 2.5235 10.3628 0.7167
Li 3.0807 1.0019 7.4840
Li 3.0807 4.6805 4.8171
Li 5.3256 6.6842 4.8171
Li 5.3256 10.3628 7.4840
Zr 0.1944 1.0005 5.4231
Zr 0.1944 4.6818 6.8780
Zr 2.6077 6.6829 6.8780
Zr 2.6077 10.3641 5.4231
Zr 2.9965 1.0005 2.7776
Zr 2.9965 4.6818 1.3228
Zr 5.4098 6.6829 1.3228
Zr 5.4098 10.3641 2.7776
O 0.1126 8.5235 2.0502
O 0.6618 6.8327 7.6754
O 0.6618 10.2143 4.6258
O 1.4011 0.0000 1.8547
O 1.4011 0.0000 7.0732
O 1.4011 5.6823 2.2456
O 1.4011 5.6823 5.2279
O 2.1403 1.1504 4.6258
O 2.1403 4.5319 7.6754
O 2.6895 2.8412 2.0502
O 2.9147 8.5235 6.1506
O 3.4639 6.8327 0.5254
O 3.4639 10.2143 3.5750
O 4.2032 0.0000 1.1276
O 4.2032 0.0000 6.3460
O 4.2032 5.6823 2.9728
O 4.2032 5.6823 5.9551
O 4.9424 1.1504 3.5750
O 4.9424 4.5319 0.5254
O 5.4916 2.8412 6.1506
```

Top 6 peaks for 10° ≤ 2θ ≤ 90°, in order of rising 2θ:
two_theta, I/Imax
13.3, 100
15.6, 63
20.7, 76
30.5, 52
31.3, 61
47.1, 29



(10)
Li2Zr2O5: simulated powder XRD pattern (Cu Ka), based on a crystal structure in the Materials Project, relaxed with GGA-PBE.

Cell and atoms:
```
18
Lattice="4.5558 -3.3101 0.0000 4.5558 3.3101 0.0000 -2.9188 0.0000 7.0258" Properties=species:S:1:pos:R:3 pbc="T T T"
Li 1.4855 1.9747 7.0208
Li 3.2478 1.9747 3.5180
Li 2.9450 -1.9747 3.5079
Li 4.7072 -1.9747 0.0050
Zr 1.1799 0.1850 2.6637
Zr -0.2795 -0.1850 6.1766
Zr 6.4723 0.1850 0.8492
Zr 5.0129 -0.1850 4.3621
O 2.2779 1.6550 0.0000
O 2.3667 2.9000 5.2694
O 0.1288 0.9620 4.4146
O 1.5882 -0.9620 0.9017
O 0.8185 -1.6550 3.5129
O 4.5558 0.0000 0.0000
O 3.0964 0.0000 3.5129
O 4.6045 0.9620 6.1241
O 6.0639 -0.9620 2.6112
O 3.8261 -2.9000 1.7565
```

Top 6 peaks for 10° ≤ 2θ ≤ 90°, in order of rising 2θ:
two_theta, I/Imax
21.1, 91
26.9, 39
27.0, 100
43.0, 34
47.6, 26
52.3, 27



(11)
Li6Zr2O7: simulated powder XRD pattern (Cu Ka), based on a crystal structure in the Materials Project, relaxed with GGA-PBE.

Cell and atoms:
```
30
Lattice="5.2793 -3.0305 0.0000 5.2793 3.0305 0.0000 -1.8505 0.0000 10.1605" Properties=species:S:1:pos:R:3 pbc="T T T"
Li 0.5238 0.7752 9.0926
Li 2.9492 2.1571 9.2897
Li 4.8336 2.1571 5.9510
Li 3.8276 0.6071 4.0426
Li 1.4490 -0.7752 4.0124
Li 5.8058 0.6071 1.0376
Li 2.9023 -0.6071 9.1228
Li 7.2590 0.7752 6.1481
Li 4.8805 -0.6071 6.1179
Li 3.8745 -2.1571 4.2094
Li 5.7589 -2.1571 0.8708
Li 8.1843 -0.7752 1.0678
Zr 2.1667 0.7322 6.4536
Zr 3.0920 -0.7322 1.3733
Zr 5.6160 0.7322 8.7872
Zr 6.5413 -0.7322 3.7069
O 0.4709 0.7963 5.1059
O 2.1988 0.6757 2.6139
O 3.9583 0.7450 0.2290
O 1.3961 -0.7963 0.0257
O 3.8914 0.9608 7.6204
O 1.2735 -0.6757 7.6941
O 5.6750 0.7450 4.8512
O 3.0331 -0.7450 5.3093
O 7.4346 0.6757 2.4663
O 4.8167 -0.9608 2.5401
O 7.3119 0.7963 10.1348
O 4.7497 -0.7450 9.9314
O 6.5093 -0.6757 7.5466
O 8.2372 -0.7963 5.0546
```

Top 6 peaks for 10° ≤ 2θ ≤ 90°, in order of rising 2θ:
two_theta, I/Imax
17.1, 74
18.4, 100
23.3, 65
26.7, 38
29.7, 43
41.7, 75